Structure and calculated powder X-ray diffraction pattern of Ac6Hg5 (a cell relaxed with GGA-PBE; CuKα).
Lines closer than 0.1° are merged.

```
data_Ac6Hg5
_space_group_name_H-M_alt 'I m m m'
_space_group_IT_number 71
_space_group_name_Hall '-I 2 2'
_cell_length_a 5.6821
_cell_length_b 8.0723
_cell_length_c 16.9781
_cell_angle_alpha 90.00
_cell_angle_beta 90.00
_cell_angle_gamma 90.00
loop_
_atom_site_label
_atom_site_fract_x
_atom_site_fract_y
_atom_site_fract_z
_atom_site_occupancy
Ac1 0.0000 0.2483 0.0000 1
Ac2 0.0000 0.2519 0.3348 1
Hg1 0.0000 0.0000 0.1654 1
Hg2 0.0000 0.0000 0.5000 1
Hg3 0.0000 0.5000 0.1667 1
```

Most intense lines, 10 to 90 degrees two-theta, by intensity:
31.46°, 2.844 Å, intensity 100, (2 0 0); 31.62°, 2.830 Å, intensity 20, (0 0 6); 55.92°, 1.644 Å, intensity 16, (2 4 0); 56.04°, 1.641 Å, intensity 16, (3 2 3); 56.21°, 1.637 Å, intensity 16, (1 2 9); 45.23°, 2.005 Å, intensity 15, (2 0 6); 65.66°, 1.422 Å, intensity 13, (4 0 0); 74.81°, 1.269 Å, intensity 11, (4 0 6); 44.92°, 2.018 Å, intensity 8, (0 4 0); 74.37°, 1.276 Å, intensity 7, (1 6 3)